Record 1
For SiS, a crystal structure in Alexandria, relaxed with GGA-PBE gives the simulated X-ray powder pattern in this record (Cu Kα).
Kinematic intensities with the Lorentz-polarization factor, no thermal factor.

Cell lengths 3.327, 15.415, 3.994 Å; angles 90.00, 90.00, 90.00 degrees
Space group Cmc2_1 (No. 36)
One atom of each set of equivalent atoms:
Si (0.000, 0.042, 0.000)
S (0.000, 0.368, 0.515)

Top 12 peaks for 2θ from 5° to 70°, most intense first:
| 2θ/deg | I_rel |
| --- | --- |
| 25.11 | 100.0 |
| 11.48 | 71.7 |
| 32.05 | 47.2 |
| 46.13 | 44.9 |
| 56.66 | 17.8 |
| 55.04 | 14.7 |
| 45.42 | 14.2 |
| 61.58 | 12.8 |
| 23.08 | 10.0 |
| 35.60 | 9.1 |
| 49.65 | 8.1 |
| 55.22 | 7.7 |


Record 2
For Tm7AsS5, a crystal structure in Alexandria, relaxed with GGA-PBE gives the simulated X-ray powder pattern in this record (Cu Kα).
Kinematic intensities with the Lorentz-polarization factor, no thermal factor.

Cell lengths 12.593, 3.820, 23.060 Å; angles 90.00, 91.93, 90.00 degrees
Space group Cm (No. 8)
One atom of each set of equivalent atoms:
Tm (0.000, 0.000, 0.000)
Tm (0.007, 0.000, 0.574)
Tm (0.044, 0.500, 0.422)
Tm (0.062, 0.500, 0.145)
Tm (0.113, 0.000, 0.284)
Tm (0.171, 0.000, 0.790)
Tm (0.223, 0.500, 0.929)
Tm (0.240, 0.500, 0.652)
Tm (0.276, 0.000, 0.500)
Tm (0.285, 0.000, 0.074)
Tm (0.323, 0.500, 0.360)
Tm (0.342, 0.500, 0.216)
Tm (0.443, 0.000, 0.858)
Tm (0.461, 0.000, 0.713)
As (0.336, 0.500, 0.773)
As (0.448, 0.000, 0.301)
S (0.082, 0.000, 0.895)
S (0.100, 0.000, 0.680)
S (0.142, 0.500, 0.537)
S (0.143, 0.500, 0.037)
S (0.184, 0.000, 0.394)
S (0.203, 0.000, 0.179)
S (0.363, 0.000, 0.965)
S (0.369, 0.000, 0.607)
S (0.415, 0.500, 0.466)
S (0.422, 0.500, 0.108)

Top 12 peaks for 2θ from 5° to 70°, most intense first:
| 2θ/deg | I_rel |
| --- | --- |
| 31.08 | 100.0 |
| 32.82 | 74.9 |
| 28.79 | 73.7 |
| 30.21 | 62.6 |
| 32.47 | 58.9 |
| 33.56 | 48.3 |
| 47.61 | 45.7 |
| 46.38 | 32.8 |
| 29.06 | 31.6 |
| 57.42 | 31.4 |
| 47.00 | 30.0 |
| 34.07 | 29.6 |


Record 3
For Tb4InAg5, a crystal structure in Alexandria, relaxed with GGA-PBE gives the simulated X-ray powder pattern in this record (Cu Kα).
Kinematic intensities with the Lorentz-polarization factor, no thermal factor.

Cell lengths 3.672, 3.672, 17.625 Å; angles 90.00, 90.00, 90.00 degrees
Space group P4/mmm (No. 123)
One atom of each set of equivalent atoms:
Tb (0.000, 0.000, 0.104)
Tb (0.000, 0.000, 0.310)
In (0.000, 0.000, 0.500)
Ag (0.500, 0.500, 0.000)
Ag (0.500, 0.500, 0.208)
Ag (0.500, 0.500, 0.406)

Top 12 peaks for 2θ from 5° to 70°, most intense first:
| 2θ/deg | I_rel |
| --- | --- |
| 35.30 | 100.0 |
| 34.55 | 55.4 |
| 62.39 | 36.9 |
| 49.66 | 19.5 |
| 63.83 | 15.0 |
| 51.88 | 7.1 |
| 31.72 | 3.1 |
| 24.24 | 2.6 |
| 59.09 | 2.1 |
| 39.28 | 1.5 |
| 43.28 | 1.1 |
| 46.37 | 1.1 |